Theoretical PXRD pattern of AcInGa4Ag2 for Cu Kα, 1.54184 Å, from a crystal structure in Alexandria, relaxed with GGA-PBE.

Largest 10 diffraction maxima, by angle, 2θ = 15–90°:
2theta, d (Å), Rel. int., (hkl)
23.0, 3.863, 12, 0 1 2
25.3, 3.517, 32, 1 0 4
30.8, 2.901, 17, 1 0 7
33.1, 2.710, 100, 0 1 8
39.0, 2.311, 85, 1 1 0
52.0, 1.759, 27, 2 0 8
54.5, 1.683, 19, 1 1 12
54.9, 1.673, 13, 1 0 16
66.9, 1.399, 25, 1 2 8
70.6, 1.334, 17, 3 0 0

Structural model:
```
data_AcInGa4Ag2
_chemical_formula_sum 'Ac3 In3 Ga12 Ag6'
_cell_length_a 4.6220
_cell_length_b 4.6220
_cell_length_c 29.4630
_cell_angle_alpha 90.00
_cell_angle_beta 90.00
_cell_angle_gamma 120.00
_symmetry_space_group_name_H-M 'R -3 m'
_symmetry_Int_Tables_number 166
_symmetry_space_group_name_Hall '-R 3 2"'
loop_
_atom_site_label
_atom_site_type_symbol
_atom_site_fract_x
_atom_site_fract_y
_atom_site_fract_z
_atom_site_occupancy
Ac1 Ac 0.0000 0.0000 0.0000 1
In1 In 0.0000 0.0000 0.5000 1
Ga1 Ga 0.0000 0.0000 0.1208 1
Ga2 Ga 0.0000 0.0000 0.4008 1
Ag1 Ag 0.0000 0.0000 0.2542 1
```